[1]
Diffraction record for Gd5AgSe8. The XRD peak list is calculated, not measured: it uses a structure optimized by DFT (PBE) and CuKα.
Intensities are scaled so that the largest is 100.

Crystal structure
```
data_Gd5AgSe8
_chemical_formula_sum 'Gd5 Ag1 Se8'
_space_group_name_H-M_alt 'P 1'
_space_group_IT_number 1
_cell_length_a 7.6133
_cell_length_b 7.6133
_cell_length_c 7.6133
_cell_angle_alpha 109.77
_cell_angle_beta 109.77
_cell_angle_gamma 108.88
loop_
_space_group_symop_operation_xyz
'x,y,z'
loop_
_atom_site_label
_atom_site_type_symbol
_atom_site_fract_x
_atom_site_fract_y
_atom_site_fract_z
_atom_site_occupancy
Gd1 Gd 0.0000 0.0000 0.0000 1
Gd2 Gd 0.2489 0.1328 0.6215 1
Gd3 Gd 0.3726 0.7511 0.8839 1
Gd4 Gd 0.5113 0.6274 0.3785 1
Gd5 Gd 0.8672 0.4887 0.1161 1
Ag1 Ag 0.7500 0.2500 0.5000 1
Se1 Se 0.1183 0.3691 0.8890 1
Se2 Se 0.1396 0.3820 0.3916 1
Se3 Se 0.2520 0.8604 0.2424 1
Se4 Se 0.4801 0.2293 0.1110 1
Se5 Se 0.6180 0.0096 0.7576 1
Se6 Se 0.6309 0.5199 0.7492 1
Se7 Se 0.7707 0.8817 0.2508 1
Se8 Se 0.9904 0.7480 0.6084 1
```

Main lines, low angle first (10° ≤ 2θ ≤ 80°):
| two_theta | I_rel |
| --- | --- |
| 24.72 | 16 |
| 24.86 | 27 |
| 32.00 | 47 |
| 32.30 | 100 |
| 38.18 | 33 |
| 38.38 | 56 |
| 45.93 | 12 |
| 48.54 | 18 |
| 53.31 | 12 |
| 65.67 | 21 |

=====

[2]
Diffraction record for Th3Be. The XRD peak list is calculated, not measured: it uses a structure optimized by DFT (PBE) and CuKα.
Intensities are scaled so that the largest is 100.

Crystal structure
```
data_Th3Be
_chemical_formula_sum 'Th3 Be1'
_space_group_name_H-M_alt 'P 1'
_space_group_IT_number 1
_cell_length_a 4.7810
_cell_length_b 4.7810
_cell_length_c 4.7810
_cell_angle_alpha 90.00
_cell_angle_beta 90.00
_cell_angle_gamma 90.00
loop_
_space_group_symop_operation_xyz
'x,y,z'
loop_
_atom_site_label
_atom_site_type_symbol
_atom_site_fract_x
_atom_site_fract_y
_atom_site_fract_z
_atom_site_occupancy
Th1 Th 0.0000 0.0000 0.5000 1
Th2 Th 0.0000 0.5000 0.0000 1
Th3 Th 0.5000 0.0000 0.0000 1
Be1 Be 0.5000 0.5000 0.5000 1
```

Main lines, low angle first (10° ≤ 2θ ≤ 80°):
| two_theta | I_rel |
| --- | --- |
| 18.56 | 29 |
| 26.36 | 26 |
| 32.44 | 100 |
| 37.63 | 51 |
| 42.27 | 15 |
| 46.53 | 12 |
| 54.27 | 36 |
| 57.86 | 8 |
| 64.66 | 43 |
| 67.91 | 12 |